For LaTlNiPb2, a DFT-relaxed cell (PBE, Alexandria) gives the simulated powder X-ray diffraction pattern in this record (Cu Kα X-rays).
No peak broadening, texture or thermal motion is included.

Cell and atoms:
Cell lengths 5.182, 5.182, 5.267 Å; angles 90.00, 90.00, 90.00 degrees
Space group P4/mmm (No. 123)
Symmetry-distinct sites (fractional):
La 0.000 0.000 0.000 [1 per cell]
Tl 0.500 0.500 0.000 [1 per cell]
Ni 0.000 0.000 0.500 [1 per cell]
Pb 0.000 0.500 0.500 [2 per cell]

Top 12 peaks for 2θ from 15° to 90°, sorted by position:
2θ (°)	Rel. int.	h k l
29.70	1000	1 1 1
34.04	250	0 0 2
34.62	479	2 0 0
49.34	356	2 0 2
49.77	174	2 2 0
58.27	156	1 1 3
59.03	300	3 1 1
61.67	183	2 2 2
80.11	129	3 1 3
82.10	84	2 0 4
83.08	81	4 0 2
83.41	81	4 2 0